Diffraction record for Rb2NdScO4. The powder XRD pattern is theoretical, not measured: it uses a structure optimized by DFT (GGA-PBE) and copper Kα.
Intensities are scaled so that the largest is 100.

Principal peaks in the range 2θ = 5–70°, low angle first:
| (hkl) | Position (°2θ) | Rel. int. |
| --- | --- | --- |
| 0 0 1 | 6.86 | 58 |
| 0 0 4 | 27.68 | 39 |
| 0 1 1 | 30.77 | 44 |
| 1 0 2 | 33.09 | 100 |
| 1 0 3 | 36.67 | 55 |
| 0 1 5 | 46.56 | 18 |
| 1 0 6 | 52.48 | 34 |
| 1 1 0 | 53.18 | 32 |
| 1 1 4 | 61.00 | 26 |
| 0 2 2 | 64.08 | 15 |

Lattice parameters (Å, degrees): 3.4444 3.4444 12.8928 90.00 90.00 120.00
Space group P-3m1 (No. 164)
Unique sites:
Rb 0.3333 0.6667 0.2591 (multiplicity 2)
Nd 0.0000 0.0000 0.0000 (multiplicity 1)
Sc 0.0000 0.0000 0.5000 (multiplicity 1)
O 0.3333 0.6667 0.5794 (multiplicity 2)
O 0.3333 0.6667 0.9006 (multiplicity 2)